# Dy3Ho4
Theoretical powder XRD pattern, copper Kα. Input: a DFT-relaxed cell (PBE, Alexandria).
Peak positions follow from Bragg's law for the DFT cell and can differ from measured ones.

Crystal structure
a = 3.5170 Å, b = 4.9836 Å, c = 24.6805 Å
α = 90.00°, β = 90.00°, γ = 90.00°
Fractional coordinates of all 14 atoms:
1 Dy 0.0000 0.0000 0.0000
2 Dy 0.0000 0.0000 0.1429
3 Dy 0.0000 0.0000 0.8571
4 Dy 0.5000 0.5000 0.3571
5 Dy 0.5000 0.5000 0.5000
6 Dy 0.5000 0.5000 0.6429
7 Ho 0.0000 0.0000 0.2856
8 Ho 0.0000 0.0000 0.4285
9 Ho 0.0000 0.0000 0.5715
10 Ho 0.0000 0.0000 0.7144
11 Ho 0.5000 0.5000 0.0715
12 Ho 0.5000 0.5000 0.2144
13 Ho 0.5000 0.5000 0.7856
14 Ho 0.5000 0.5000 0.9285

Top 8 peaks for 2θ from 10° to 80°, sorted by position:
d = 2.876 Å, 31.1 deg, rel. 100
d = 2.491 Å, 36.1 deg, rel. 51
d = 1.762 Å, 51.9 deg, rel. 30
d = 1.758 Å, 52.0 deg, rel. 6
d = 1.502 Å, 61.8 deg, rel. 43
d = 1.439 Å, 64.8 deg, rel. 6
d = 1.437 Å, 64.9 deg, rel. 6
d = 1.245 Å, 76.5 deg, rel. 6



# Dy7Ho2
Theoretical powder XRD pattern, copper Kα. Input: a DFT-relaxed cell (PBE, Alexandria).
Peak positions follow from Bragg's law for the DFT cell and can differ from measured ones.

Crystal structure
a = 9.6228 Å, b = 9.6228 Å, c = 3.5148 Å
α = 90.00°, β = 90.00°, γ = 120.00°
Fractional coordinates of all 9 atoms:
1 Dy 0.0000 0.0000 0.0000
2 Dy 0.0000 0.3617 0.0000
3 Dy 0.0000 0.6963 0.5000
4 Dy 0.3037 0.3037 0.5000
5 Dy 0.3617 0.0000 0.0000
6 Dy 0.6383 0.6383 0.0000
7 Dy 0.6963 0.0000 0.5000
8 Ho 0.3333 0.6667 0.5000
9 Ho 0.6667 0.3333 0.5000

Top 12 peaks for 2θ from 10° to 80°, sorted by position:
d = 3.150 Å, 28.3 deg, rel. 10
d = 2.838 Å, 31.5 deg, rel. 78
d = 2.778 Å, 32.2 deg, rel. 100
d = 2.687 Å, 33.4 deg, rel. 27
d = 2.346 Å, 38.4 deg, rel. 19
d = 1.985 Å, 45.7 deg, rel. 23
d = 1.757 Å, 52.0 deg, rel. 10
d = 1.679 Å, 54.6 deg, rel. 21
d = 1.615 Å, 57.0 deg, rel. 20
d = 1.604 Å, 57.5 deg, rel. 15
d = 1.506 Å, 61.6 deg, rel. 10
d = 1.485 Å, 62.5 deg, rel. 30



# Dy7Ho6
Theoretical powder XRD pattern, copper Kα. Input: a DFT-relaxed cell (PBE, Alexandria).
Peak positions follow from Bragg's law for the DFT cell and can differ from measured ones.

Crystal structure
a = 12.1495 Å, b = 12.1495 Å, c = 12.1495 Å
α = 30.98°, β = 30.98°, γ = 30.98°
Fractional coordinates of all 13 atoms:
1 Dy 0.0000 0.0000 0.0000
2 Dy 0.0911 0.0911 0.5834
3 Dy 0.0911 0.5834 0.0911
4 Dy 0.4166 0.9089 0.9089
5 Dy 0.5834 0.0911 0.0911
6 Dy 0.9089 0.4166 0.9089
7 Dy 0.9089 0.9089 0.4166
8 Ho 0.1668 0.1668 0.1668
9 Ho 0.3525 0.3525 0.3525
10 Ho 0.4539 0.4539 0.4539
11 Ho 0.5461 0.5461 0.5461
12 Ho 0.6475 0.6475 0.6475
13 Ho 0.8332 0.8332 0.8332

Top 12 peaks for 2θ from 10° to 80°, sorted by position:
d = 3.245 Å, 27.5 deg, rel. 49
d = 2.951 Å, 30.3 deg, rel. 46
d = 2.830 Å, 31.6 deg, rel. 100
d = 2.801 Å, 31.9 deg, rel. 50
d = 2.749 Å, 32.6 deg, rel. 68
d = 2.673 Å, 33.5 deg, rel. 23
d = 2.605 Å, 34.4 deg, rel. 59
d = 2.444 Å, 36.8 deg, rel. 24
d = 1.782 Å, 51.3 deg, rel. 26
d = 1.762 Å, 51.9 deg, rel. 37
d = 1.651 Å, 55.7 deg, rel. 31
d = 1.623 Å, 56.7 deg, rel. 43



# Dy13Ho2
Theoretical powder XRD pattern, copper Kα. Input: a DFT-relaxed cell (PBE, Alexandria).
Peak positions follow from Bragg's law for the DFT cell and can differ from measured ones.

Crystal structure
a = 6.5736 Å, b = 8.8938 Å, c = 8.8941 Å
α = 65.86°, β = 81.59°, γ = 81.58°
Fractional coordinates of all 15 atoms:
1 Dy 0.0000 0.0000 0.0000
2 Dy 0.1036 0.4456 0.7525
3 Dy 0.1975 0.2007 0.2006
4 Dy 0.2916 0.6272 0.9770
5 Dy 0.3092 0.9561 0.6397
6 Dy 0.3986 0.3994 0.4016
7 Dy 0.4893 0.1691 0.8363
8 Dy 0.5107 0.8309 0.1637
9 Dy 0.6014 0.6006 0.5984
10 Dy 0.6908 0.0439 0.3603
11 Dy 0.7084 0.3728 0.0230
12 Dy 0.8025 0.7993 0.7994
13 Dy 0.8964 0.5544 0.2475
14 Ho 0.0971 0.7805 0.4210
15 Ho 0.9029 0.2195 0.5790

Top 12 peaks for 2θ from 10° to 80°, sorted by position:
d = 2.816 Å, 31.8 deg, rel. 92
d = 2.790 Å, 32.1 deg, rel. 100
d = 2.174 Å, 41.5 deg, rel. 9
d = 1.983 Å, 45.7 deg, rel. 22
d = 1.980 Å, 45.8 deg, rel. 11
d = 1.617 Å, 57.0 deg, rel. 23
d = 1.614 Å, 57.1 deg, rel. 12
d = 1.611 Å, 57.2 deg, rel. 19
d = 1.473 Å, 63.1 deg, rel. 14
d = 1.471 Å, 63.2 deg, rel. 14
d = 1.395 Å, 67.1 deg, rel. 11
d = 1.251 Å, 76.1 deg, rel. 9



# Dy6Ho
Theoretical powder XRD pattern, copper Kα. Input: a DFT-relaxed cell (PBE, Alexandria).
Peak positions follow from Bragg's law for the DFT cell and can differ from measured ones.

Crystal structure
a = 6.4518 Å, b = 6.4518 Å, c = 10.9506 Å
α = 90.00°, β = 90.00°, γ = 90.00°
Fractional coordinates of all 14 atoms:
1 Dy 0.0820 0.5820 0.1382
2 Dy 0.0820 0.9180 0.8618
3 Dy 0.2500 0.2500 0.3606
4 Dy 0.2500 0.2500 0.6394
5 Dy 0.4180 0.5820 0.8618
6 Dy 0.4180 0.9180 0.1382
7 Dy 0.5820 0.0820 0.8618
8 Dy 0.5820 0.4180 0.1382
9 Dy 0.7500 0.7500 0.3606
10 Dy 0.7500 0.7500 0.6394
11 Dy 0.9180 0.0820 0.1382
12 Dy 0.9180 0.4180 0.8618
13 Ho 0.2500 0.7500 0.5000
14 Ho 0.7500 0.2500 0.5000

Top 12 peaks for 2θ from 10° to 80°, sorted by position:
d = 3.650 Å, 24.4 deg, rel. 21
d = 3.094 Å, 28.9 deg, rel. 100
d = 2.850 Å, 31.4 deg, rel. 79
d = 2.790 Å, 32.1 deg, rel. 60
d = 2.738 Å, 32.7 deg, rel. 29
d = 2.553 Å, 35.2 deg, rel. 78
d = 2.417 Å, 37.2 deg, rel. 24
d = 2.281 Å, 39.5 deg, rel. 27
d = 1.744 Å, 52.5 deg, rel. 23
d = 1.636 Å, 56.2 deg, rel. 53
d = 1.505 Å, 61.6 deg, rel. 24
d = 1.404 Å, 66.6 deg, rel. 27



# Dy7Ho
Theoretical powder XRD pattern, copper Kα. Input: a DFT-relaxed cell (PBE, Alexandria).
Peak positions follow from Bragg's law for the DFT cell and can differ from measured ones.

Crystal structure
a = 3.5111 Å, b = 11.0509 Å, c = 12.9267 Å
α = 90.00°, β = 90.00°, γ = 90.00°
Fractional coordinates of all 16 atoms:
1 Dy 0.0000 0.0000 0.0000
2 Dy 0.0000 0.0000 0.2593
3 Dy 0.0000 0.0000 0.7407
4 Dy 0.0000 0.2681 0.3676
5 Dy 0.0000 0.2681 0.6324
6 Dy 0.0000 0.7319 0.3676
7 Dy 0.0000 0.7319 0.6324
8 Dy 0.5000 0.2319 0.1324
9 Dy 0.5000 0.2319 0.8676
10 Dy 0.5000 0.5000 0.2407
11 Dy 0.5000 0.5000 0.5000
12 Dy 0.5000 0.5000 0.7593
13 Dy 0.5000 0.7681 0.1324
14 Dy 0.5000 0.7681 0.8676
15 Ho 0.0000 0.5000 0.0000
16 Ho 0.5000 0.0000 0.5000

Top 12 peaks for 2θ from 10° to 80°, sorted by position:
d = 2.972 Å, 30.1 deg, rel. 15
d = 2.888 Å, 31.0 deg, rel. 74
d = 2.790 Å, 32.1 deg, rel. 100
d = 2.763 Å, 32.4 deg, rel. 46
d = 2.722 Å, 32.9 deg, rel. 48
d = 2.542 Å, 35.3 deg, rel. 14
d = 1.939 Å, 46.9 deg, rel. 32
d = 1.619 Å, 56.9 deg, rel. 21
d = 1.600 Å, 57.6 deg, rel. 15
d = 1.567 Å, 58.9 deg, rel. 25
d = 1.486 Å, 62.5 deg, rel. 31
d = 1.482 Å, 62.7 deg, rel. 16



# DyHo3In
Theoretical powder XRD pattern, copper Kα. Input: a DFT-relaxed cell (PBE, Alexandria).
Peak positions follow from Bragg's law for the DFT cell and can differ from measured ones.

Crystal structure
a = 8.6821 Å, b = 8.6821 Å, c = 6.8498 Å
α = 90.25°, β = 90.25°, γ = 34.71°
Fractional coordinates of all 10 atoms:
1 Dy 0.1093 0.1093 0.4952
2 Dy 0.8907 0.8907 0.5048
3 Ho 0.1098 0.1098 0.0030
4 Ho 0.2963 0.2963 0.7496
5 Ho 0.4957 0.4957 0.2495
6 Ho 0.5043 0.5043 0.7505
7 Ho 0.7037 0.7037 0.2504
8 Ho 0.8902 0.8902 0.9970
9 In 0.3027 0.3027 0.2490
10 In 0.6973 0.6973 0.7510

Top 12 peaks for 2θ from 10° to 80°, sorted by position:
d = 2.815 Å, 31.8 deg, rel. 90
d = 2.792 Å, 32.1 deg, rel. 100
d = 2.646 Å, 33.9 deg, rel. 24
d = 2.634 Å, 34.0 deg, rel. 23
d = 2.589 Å, 34.6 deg, rel. 43
d = 1.851 Å, 49.2 deg, rel. 17
d = 1.846 Å, 49.4 deg, rel. 16
d = 1.657 Å, 55.5 deg, rel. 16
d = 1.535 Å, 60.3 deg, rel. 15
d = 1.531 Å, 60.5 deg, rel. 16
d = 1.462 Å, 63.6 deg, rel. 16
d = 1.457 Å, 63.9 deg, rel. 14



# Dy5Ho2In
Theoretical powder XRD pattern, copper Kα. Input: a DFT-relaxed cell (PBE, Alexandria).
Peak positions follow from Bragg's law for the DFT cell and can differ from measured ones.

Crystal structure
a = 4.8921 Å, b = 4.8921 Å, c = 20.0088 Å
α = 90.00°, β = 90.00°, γ = 90.00°
Fractional coordinates of all 16 atoms:
1 Dy 0.0000 0.0000 0.0000
2 Dy 0.0000 0.5000 0.1224
3 Dy 0.0000 0.5000 0.3776
4 Dy 0.0000 0.5000 0.6224
5 Dy 0.0000 0.5000 0.8776
6 Dy 0.5000 0.0000 0.1224
7 Dy 0.5000 0.0000 0.3776
8 Dy 0.5000 0.0000 0.6224
9 Dy 0.5000 0.0000 0.8776
10 Dy 0.5000 0.5000 0.5000
11 Ho 0.0000 0.0000 0.2465
12 Ho 0.0000 0.0000 0.7535
13 Ho 0.5000 0.5000 0.2535
14 Ho 0.5000 0.5000 0.7465
15 In 0.0000 0.0000 0.5000
16 In 0.5000 0.5000 0.0000

Top 11 peaks for 2θ from 10° to 80°, sorted by position:
d = 4.752 Å, 18.7 deg, rel. 1
d = 2.845 Å, 31.4 deg, rel. 100
d = 2.501 Å, 35.9 deg, rel. 17
d = 2.446 Å, 36.7 deg, rel. 33
d = 1.749 Å, 52.3 deg, rel. 24
d = 1.730 Å, 52.9 deg, rel. 12
d = 1.502 Å, 61.8 deg, rel. 14
d = 1.478 Å, 62.9 deg, rel. 28
d = 1.423 Å, 65.6 deg, rel. 12
d = 1.251 Å, 76.1 deg, rel. 2
d = 1.223 Å, 78.1 deg, rel. 4



# Dy2Ho8In3
Theoretical powder XRD pattern, copper Kα. Input: a DFT-relaxed cell (PBE, Alexandria).
Peak positions follow from Bragg's law for the DFT cell and can differ from measured ones.

Crystal structure
a = 12.1608 Å, b = 12.1608 Å, c = 12.1608 Å
α = 30.37°, β = 30.37°, γ = 30.37°
Fractional coordinates of all 13 atoms:
1 Dy 0.1365 0.1365 0.1365
2 Dy 0.8635 0.8635 0.8635
3 Ho 0.2196 0.2196 0.7209
4 Ho 0.2196 0.7209 0.2196
5 Ho 0.2261 0.2261 0.2261
6 Ho 0.2791 0.7804 0.7804
7 Ho 0.7209 0.2196 0.2196
8 Ho 0.7739 0.7739 0.7739
9 Ho 0.7804 0.2791 0.7804
10 Ho 0.7804 0.7804 0.2791
11 In 0.3118 0.3118 0.3118
12 In 0.5000 0.5000 0.5000
13 In 0.6882 0.6882 0.6882

Top 12 peaks for 2θ from 10° to 80°, sorted by position:
d = 3.185 Å, 28.0 deg, rel. 40
d = 3.071 Å, 29.1 deg, rel. 38
d = 2.743 Å, 32.6 deg, rel. 95
d = 2.724 Å, 32.9 deg, rel. 100
d = 2.629 Å, 34.1 deg, rel. 33
d = 2.564 Å, 35.0 deg, rel. 52
d = 2.458 Å, 36.6 deg, rel. 37
d = 2.410 Å, 37.3 deg, rel. 55
d = 1.846 Å, 49.4 deg, rel. 29
d = 1.741 Å, 52.6 deg, rel. 48
d = 1.593 Å, 57.9 deg, rel. 45
d = 1.377 Å, 68.1 deg, rel. 22



# Dy3Ho2In7
Theoretical powder XRD pattern, copper Kα. Input: a DFT-relaxed cell (PBE, Alexandria).
Peak positions follow from Bragg's law for the DFT cell and can differ from measured ones.

Crystal structure
a = 15.3096 Å, b = 15.3096 Å, c = 4.6590 Å
α = 90.00°, β = 90.00°, γ = 161.88°
Fractional coordinates of all 12 atoms:
1 Dy 0.0000 0.0000 0.0000
2 Dy 0.1467 0.8533 0.0000
3 Dy 0.8533 0.1467 0.0000
4 Ho 0.3412 0.6588 0.5000
5 Ho 0.6588 0.3412 0.5000
6 In 0.0767 0.9233 0.5000
7 In 0.2254 0.7746 0.5000
8 In 0.4223 0.5777 0.0000
9 In 0.5000 0.5000 0.5000
10 In 0.5777 0.4223 0.0000
11 In 0.7746 0.2254 0.5000
12 In 0.9233 0.0767 0.5000

Top 12 peaks for 2θ from 10° to 80°, sorted by position:
d = 4.452 Å, 19.9 deg, rel. 8
d = 2.931 Å, 30.5 deg, rel. 17
d = 2.648 Å, 33.9 deg, rel. 100
d = 2.520 Å, 35.6 deg, rel. 8
d = 2.411 Å, 37.3 deg, rel. 23
d = 2.330 Å, 38.7 deg, rel. 20
d = 2.160 Å, 41.8 deg, rel. 8
d = 1.675 Å, 54.8 deg, rel. 15
d = 1.438 Å, 64.9 deg, rel. 10
d = 1.433 Å, 65.1 deg, rel. 15
d = 1.399 Å, 66.9 deg, rel. 14
d = 1.323 Å, 71.3 deg, rel. 10



# Dy6Ho2In3
Theoretical powder XRD pattern, copper Kα. Input: a DFT-relaxed cell (PBE, Alexandria).
Peak positions follow from Bragg's law for the DFT cell and can differ from measured ones.

Crystal structure
a = 16.9708 Å, b = 16.9708 Å, c = 16.9708 Å
α = 164.69°, β = 164.69°, γ = 21.72°
Fractional coordinates of all 11 atoms:
1 Dy 0.1269 0.6269 0.5000
2 Dy 0.2128 0.2128 0.0000
3 Dy 0.3731 0.8731 0.5000
4 Dy 0.6269 0.1269 0.5000
5 Dy 0.7872 0.7872 0.0000
6 Dy 0.8731 0.3731 0.5000
7 Ho 0.0448 0.0448 0.0000
8 Ho 0.9552 0.9552 0.0000
9 In 0.3064 0.3064 0.0000
10 In 0.5000 0.5000 0.0000
11 In 0.6936 0.6936 0.0000

Top 12 peaks for 2θ from 10° to 80°, sorted by position:
d = 3.279 Å, 27.2 deg, rel. 18
d = 2.985 Å, 29.9 deg, rel. 100
d = 2.778 Å, 32.2 deg, rel. 26
d = 2.537 Å, 35.4 deg, rel. 55
d = 2.517 Å, 35.7 deg, rel. 30
d = 2.261 Å, 39.9 deg, rel. 49
d = 1.754 Å, 52.2 deg, rel. 26
d = 1.682 Å, 54.6 deg, rel. 18
d = 1.599 Å, 57.7 deg, rel. 17
d = 1.478 Å, 62.9 deg, rel. 13
d = 1.409 Å, 66.3 deg, rel. 22
d = 1.353 Å, 69.5 deg, rel. 15



# Dy12Ho5In2
Theoretical powder XRD pattern, copper Kα. Input: a DFT-relaxed cell (PBE, Alexandria).
Peak positions follow from Bragg's law for the DFT cell and can differ from measured ones.

Crystal structure
a = 8.9418 Å, b = 8.9418 Å, c = 8.3192 Å
α = 91.59°, β = 91.59°, γ = 62.17°
Fractional coordinates of all 19 atoms:
1 Dy 0.0539 0.0539 0.3251
2 Dy 0.0706 0.6791 0.3384
3 Dy 0.1657 0.5363 0.7629
4 Dy 0.3209 0.9294 0.6616
5 Dy 0.4160 0.4160 0.1152
6 Dy 0.4637 0.8343 0.2371
7 Dy 0.5363 0.1657 0.7629
8 Dy 0.5840 0.5840 0.8848
9 Dy 0.6791 0.0706 0.3384
10 Dy 0.8343 0.4637 0.2371
11 Dy 0.9294 0.3209 0.6616
12 Dy 0.9461 0.9461 0.6749
13 Ho 0.1902 0.1902 0.0077
14 Ho 0.2662 0.2662 0.4196
15 Ho 0.5000 0.5000 0.5000
16 Ho 0.7338 0.7338 0.5804
17 Ho 0.8098 0.8098 0.9923
18 In 0.1796 0.8204 0.0000
19 In 0.8204 0.1796 0.0000

Top 12 peaks for 2θ from 10° to 80°, sorted by position:
d = 3.089 Å, 28.9 deg, rel. 22
d = 3.001 Å, 29.8 deg, rel. 21
d = 2.946 Å, 30.3 deg, rel. 23
d = 2.889 Å, 31.0 deg, rel. 41
d = 2.842 Å, 31.5 deg, rel. 24
d = 2.831 Å, 31.6 deg, rel. 25
d = 2.770 Å, 32.3 deg, rel. 100
d = 2.756 Å, 32.5 deg, rel. 28
d = 2.630 Å, 34.1 deg, rel. 50
d = 2.500 Å, 35.9 deg, rel. 30
d = 1.619 Å, 56.9 deg, rel. 18
d = 1.558 Å, 59.3 deg, rel. 21



# Dy4HoIn3
Theoretical powder XRD pattern, copper Kα. Input: a DFT-relaxed cell (PBE, Alexandria).
Peak positions follow from Bragg's law for the DFT cell and can differ from measured ones.

Crystal structure
a = 3.5110 Å, b = 8.8374 Å, c = 15.0469 Å
α = 90.00°, β = 90.00°, γ = 90.00°
Fractional coordinates of all 16 atoms:
1 Dy 0.0000 0.1986 0.1391
2 Dy 0.0000 0.1986 0.8609
3 Dy 0.0000 0.8014 0.1391
4 Dy 0.0000 0.8014 0.8609
5 Dy 0.5000 0.3014 0.3609
6 Dy 0.5000 0.3014 0.6391
7 Dy 0.5000 0.6986 0.3609
8 Dy 0.5000 0.6986 0.6391
9 Ho 0.0000 0.5000 0.0000
10 Ho 0.5000 0.0000 0.5000
11 In 0.0000 0.0000 0.3160
12 In 0.0000 0.0000 0.6840
13 In 0.0000 0.5000 0.5000
14 In 0.5000 0.0000 0.0000
15 In 0.5000 0.5000 0.1840
16 In 0.5000 0.5000 0.8160

Top 12 peaks for 2θ from 10° to 80°, sorted by position:
d = 3.419 Å, 26.1 deg, rel. 33
d = 2.993 Å, 29.8 deg, rel. 81
d = 2.891 Å, 30.9 deg, rel. 37
d = 2.864 Å, 31.2 deg, rel. 87
d = 2.704 Å, 33.1 deg, rel. 39
d = 2.540 Å, 35.3 deg, rel. 46
d = 2.508 Å, 35.8 deg, rel. 35
d = 2.465 Å, 36.5 deg, rel. 51
d = 2.411 Å, 37.3 deg, rel. 100
d = 1.755 Å, 52.1 deg, rel. 28
d = 1.456 Å, 64.0 deg, rel. 33
d = 1.445 Å, 64.5 deg, rel. 48